Diffraction record for MgCo4Ni2O12. The PXRD pattern is theoretical, not measured: it uses a structure optimized by DFT (GGA+U) and copper Kα.

Main lines, by intensity (2θ from 10° to 90°):
18.04 deg, I = 100.0, (0 0 2); 37.27 deg, I = 15.8, (1 -2 1); 38.62 deg, I = 14.8, (1 1 -2); 36.56 deg, I = 14.2, (1 1 0); 65.42 deg, I = 8.7, (0 3 -1); 47.77 deg, I = 8.1, (-1 2 3)

Crystal structure
```
data_MgCo4Ni2O12
_space_group_name_H-M_alt 'P 1'
_space_group_IT_number 1
_space_group_name_Hall 'P 1'
_cell_length_a 4.9024
_cell_length_b 4.9041
_cell_length_c 9.9311
_cell_angle_alpha 93.70
_cell_angle_beta 94.39
_cell_angle_gamma 119.19
loop_
_atom_site_label
_atom_site_type_symbol
_atom_site_fract_x
_atom_site_fract_y
_atom_site_fract_z
Mg1 Mg 0.0000 0.0000 0.0000
Co1 Co 0.0582 0.7204 0.2519
Co2 Co 0.2437 0.5729 0.7424
Co3 Co 0.5928 0.2467 0.7483
Co4 Co 0.7270 0.0511 0.2521
Ni1 Ni 0.3955 0.3886 0.2521
Ni2 Ni 0.9152 0.9097 0.7359
O1 O 0.0300 0.3482 0.1493
O2 O 0.0598 0.0509 0.3507
O3 O 0.2363 0.8875 0.6500
O4 O 0.2660 0.2579 0.8451
O5 O 0.3528 0.0243 0.1488
O6 O 0.4232 0.7514 0.3443
O7 O 0.5533 0.5469 0.6492
O8 O 0.6492 0.9542 0.8506
O9 O 0.7265 0.7215 0.1406
O10 O 0.7596 0.4147 0.3442
O11 O 0.8759 0.2062 0.6417
O12 O 0.9527 0.6250 0.8471
```